Record 1
Theoretical X-ray powder pattern of Li3Ho4Ir2 for Cu Kα (λ = 1.5418 Å), from the PBE geometry in Alexandria.
Kinematic intensities with the Lorentz-polarization factor, no thermal factor.

Structure:
a b c (Å): 4.7871 4.7871 9.6955
angles (deg): 90.00 90.00 120.00
Atoms (fractional coordinates):
Li 0.0000 0.0000 0.0000
Li 0.3333 0.6667 0.5062
Li 0.6667 0.3333 0.4938
Ho 0.0000 0.0000 0.3109
Ho 0.0000 0.0000 0.6891
Ho 0.3333 0.6667 0.1115
Ho 0.6667 0.3333 0.8885
Ir 0.3333 0.6667 0.7999
Ir 0.6667 0.3333 0.2001

Largest 6 diffraction maxima, in order of falling intensity, 15° ≤ 2θ ≤ 90°:
d_spacing	2theta	intensity
2.549	35.21	100
2.394	37.58	95
3.812	23.34	61
4.848	18.30	38
1.745	52.44	32
1.410	66.29	32

***

Record 2
Theoretical X-ray powder pattern of LiHo2IrO5 for Cu Kα (λ = 1.5418 Å), from the PBE geometry in Alexandria.
Kinematic intensities with the Lorentz-polarization factor, no thermal factor.

Structure:
a b c (Å): 6.4640 6.4640 6.4640
angles (deg): 144.24 128.09 64.64
Atoms (fractional coordinates):
Li 0.0000 0.0000 0.0000
Ho 0.2906 0.7906 0.5000
Ho 0.7094 0.2094 0.5000
Ir 0.5000 0.5000 0.0000
O 0.1212 0.3512 0.7700
O 0.4187 0.6488 0.7700
O 0.5000 0.0000 0.5000
O 0.5813 0.3512 0.2300
O 0.8788 0.6488 0.2300

Largest 6 diffraction maxima, in order of falling intensity, 15° ≤ 2θ ≤ 90°:
d_spacing	2theta	intensity
2.793	32.05	100
5.024	17.65	85
1.947	46.65	34
1.626	56.61	32
2.829	31.63	27
2.038	44.45	25

***

Record 3
Theoretical X-ray powder pattern of Ho2MgSi2Ir5 for Cu Kα (λ = 1.5418 Å), from the PBE geometry in Alexandria.
Kinematic intensities with the Lorentz-polarization factor, no thermal factor.

Structure:
a b c (Å): 9.7966 9.7966 3.4701
angles (deg): 90.00 90.00 90.00
Atoms (fractional coordinates):
Ho 0.1747 0.3253 0.0000
Ho 0.3253 0.8253 0.0000
Ho 0.6747 0.1747 0.0000
Ho 0.8253 0.6747 0.0000
Mg 0.0000 0.0000 0.0000
Mg 0.5000 0.5000 0.0000
Si 0.1252 0.6252 0.0000
Si 0.3748 0.1252 0.0000
Si 0.6252 0.8748 0.0000
Si 0.8748 0.3748 0.0000
Ir 0.0000 0.5000 0.5000
Ir 0.0678 0.7860 0.5000
Ir 0.2140 0.0678 0.5000
Ir 0.2860 0.5678 0.5000
Ir 0.4322 0.2860 0.5000
Ir 0.5000 0.0000 0.5000
Ir 0.5678 0.7140 0.5000
Ir 0.7140 0.4322 0.5000
Ir 0.7860 0.9322 0.5000
Ir 0.9322 0.2140 0.5000

Largest 6 diffraction maxima, in order of falling intensity, 15° ≤ 2θ ≤ 90°:
d_spacing	2theta	intensity
2.311	38.98	100
2.720	32.94	74
2.376	37.87	71
1.401	66.79	46
2.139	42.24	38
3.470	25.68	26

***

Record 4
Theoretical X-ray powder pattern of Ho2MnIr3 for Cu Kα (λ = 1.5418 Å), from the PBE geometry in Alexandria.
Kinematic intensities with the Lorentz-polarization factor, no thermal factor.

Structure:
a b c (Å): 5.4489 5.4489 8.2486
angles (deg): 90.00 90.00 120.00
Atoms (fractional coordinates):
Ho 0.3333 0.6667 0.0643
Ho 0.3333 0.6667 0.4357
Ho 0.6667 0.3333 0.5643
Ho 0.6667 0.3333 0.9357
Mn 0.0000 0.0000 0.0000
Mn 0.0000 0.0000 0.5000
Ir 0.1690 0.3380 0.7500
Ir 0.1690 0.8310 0.7500
Ir 0.3380 0.1690 0.2500
Ir 0.6620 0.8310 0.7500
Ir 0.8310 0.1690 0.2500
Ir 0.8310 0.6620 0.2500

Largest 6 diffraction maxima, in order of falling intensity, 15° ≤ 2θ ≤ 90°:
d_spacing	2theta	intensity
2.270	39.70	100
2.376	37.87	37
1.352	69.53	19
1.496	62.02	16
1.362	68.93	15
2.359	38.14	15

***

Record 5
Theoretical X-ray powder pattern of Na4Ho2Ir3O12 for Cu Kα (λ = 1.5418 Å), from the PBE geometry in Alexandria.
Kinematic intensities with the Lorentz-polarization factor, no thermal factor.

Structure:
a b c (Å): 9.4668 9.4668 3.1934
angles (deg): 90.00 90.00 120.00
Atoms (fractional coordinates):
Na 0.0000 0.0000 0.0000
Na 0.0000 0.6985 0.5000
Na 0.3015 0.3015 0.5000
Na 0.6985 0.0000 0.5000
Ho 0.3333 0.6667 0.5000
Ho 0.6667 0.3333 0.5000
Ir 0.0000 0.3319 0.0000
Ir 0.3319 0.0000 0.0000
Ir 0.6681 0.6681 0.0000
O 0.0000 0.1985 0.5000
O 0.0000 0.4591 0.5000
O 0.1985 0.0000 0.5000
O 0.2188 0.7565 0.0000
O 0.2435 0.4623 0.0000
O 0.4591 0.0000 0.5000
O 0.4623 0.2435 0.0000
O 0.5377 0.7812 0.0000
O 0.5409 0.5409 0.5000
O 0.7565 0.2188 0.0000
O 0.7812 0.5377 0.0000
O 0.8015 0.8015 0.5000

Largest 6 diffraction maxima, in order of falling intensity, 15° ≤ 2θ ≤ 90°:
d_spacing	2theta	intensity
2.647	33.86	100
4.733	18.75	87
2.733	32.77	87
1.901	47.84	50
1.561	59.20	50
1.379	68.00	22

***

Record 6
Theoretical X-ray powder pattern of NdHo2Ir2 for Cu Kα (λ = 1.5418 Å), from the PBE geometry in Alexandria.
Kinematic intensities with the Lorentz-polarization factor, no thermal factor.

Structure:
a b c (Å): 5.5085 4.4475 10.4934
angles (deg): 90.00 97.04 90.00
Atoms (fractional coordinates):
Nd 0.0666 0.2500 0.2837
Nd 0.9334 0.7500 0.7163
Ho 0.2685 0.7500 0.0290
Ho 0.3776 0.2500 0.6108
Ho 0.6224 0.7500 0.3892
Ho 0.7315 0.2500 0.9710
Ir 0.1573 0.7500 0.4682
Ir 0.2027 0.2500 0.8649
Ir 0.7973 0.7500 0.1351
Ir 0.8427 0.2500 0.5318

Largest 6 diffraction maxima, in order of falling intensity, 15° ≤ 2θ ≤ 90°:
d_spacing	2theta	intensity
2.224	40.57	100
2.736	32.73	82
2.779	32.21	69
2.160	41.82	48
2.552	35.16	44
1.871	48.65	26

***

Record 7
Theoretical X-ray powder pattern of NdHoIr2 for Cu Kα (λ = 1.5418 Å), from the PBE geometry in Alexandria.
Kinematic intensities with the Lorentz-polarization factor, no thermal factor.

Structure:
a b c (Å): 4.9248 4.9248 4.9248
angles (deg): 60.00 60.00 60.00
Atoms (fractional coordinates):
Nd 0.0000 0.0000 0.0000
Ho 0.5000 0.5000 0.5000
Ir 0.2500 0.2500 0.2500
Ir 0.7500 0.7500 0.7500

Largest 6 diffraction maxima, in order of falling intensity, 15° ≤ 2θ ≤ 90°:
d_spacing	2theta	intensity
2.462	36.49	100
1.422	65.68	36
1.741	52.56	18
1.101	88.86	17
1.231	77.53	11
3.482	25.58	1

***

Record 8
Theoretical X-ray powder pattern of Nd2Ho3Ir2 for Cu Kα (λ = 1.5418 Å), from the PBE geometry in Alexandria.
Kinematic intensities with the Lorentz-polarization factor, no thermal factor.

Structure:
a b c (Å): 6.4320 6.4320 9.0432
angles (deg): 115.65 115.65 34.62
Atoms (fractional coordinates):
Nd 0.1656 0.1656 0.3057
Nd 0.8344 0.8344 0.6943
Ho 0.3795 0.3795 0.0693
Ho 0.5000 0.5000 0.5000
Ho 0.6205 0.6205 0.9307
Ir 0.1717 0.1717 0.7413
Ir 0.8283 0.8283 0.2587

Largest 6 diffraction maxima, in order of falling intensity, 15° ≤ 2θ ≤ 90°:
d_spacing	2theta	intensity
2.642	33.94	100
2.796	32.01	47
2.916	30.66	43
2.711	33.04	43
2.510	35.77	39
2.329	38.65	34

***

Record 9
Theoretical X-ray powder pattern of NdHoZnIr for Cu Kα (λ = 1.5418 Å), from the PBE geometry in Alexandria.
Kinematic intensities with the Lorentz-polarization factor, no thermal factor.

Structure:
a b c (Å): 5.0059 5.0059 5.0059
angles (deg): 60.00 60.00 60.00
Atoms (fractional coordinates):
Nd 0.0000 0.0000 0.0000
Ho 0.5000 0.5000 0.5000
Zn 0.7500 0.7500 0.7500
Ir 0.2500 0.2500 0.2500

Largest 6 diffraction maxima, in order of falling intensity, 15° ≤ 2θ ≤ 90°:
d_spacing	2theta	intensity
2.503	35.88	100
1.445	64.48	36
1.770	51.65	18
1.119	87.06	16
1.251	76.05	11
4.087	21.74	10

***

Record 10
Theoretical X-ray powder pattern of Ho4NiIr2 for Cu Kα (λ = 1.5418 Å), from the PBE geometry in Alexandria.
Kinematic intensities with the Lorentz-polarization factor, no thermal factor.

Structure:
a b c (Å): 8.2850 8.2850 8.2850
angles (deg): 33.56 33.56 33.56
Atoms (fractional coordinates):
Ho 0.1242 0.1242 0.1242
Ho 0.3746 0.3746 0.3746
Ho 0.6254 0.6254 0.6254
Ho 0.8758 0.8758 0.8758
Ni 0.5000 0.5000 0.5000
Ir 0.2491 0.2491 0.2491
Ir 0.7509 0.7509 0.7509

Largest 6 diffraction maxima, in order of falling intensity, 15° ≤ 2θ ≤ 90°:
d_spacing	2theta	intensity
2.392	37.60	100
1.381	67.87	36
3.906	22.77	19
1.691	54.23	17
1.196	80.27	11
2.040	44.41	10

***

Record 11
Theoretical X-ray powder pattern of Ho5NiIr4 for Cu Kα (λ = 1.5418 Å), from the PBE geometry in Alexandria.
Kinematic intensities with the Lorentz-polarization factor, no thermal factor.

Structure:
a b c (Å): 3.3606 3.3606 17.4854
angles (deg): 90.00 90.00 90.00
Atoms (fractional coordinates):
Ho 0.0000 0.0000 0.0000
Ho 0.0000 0.0000 0.2010
Ho 0.0000 0.0000 0.4008
Ho 0.0000 0.0000 0.5992
Ho 0.0000 0.0000 0.7990
Ni 0.5000 0.5000 0.5000
Ir 0.5000 0.5000 0.1008
Ir 0.5000 0.5000 0.3032
Ir 0.5000 0.5000 0.6968
Ir 0.5000 0.5000 0.8992

Largest 6 diffraction maxima, in order of falling intensity, 15° ≤ 2θ ≤ 90°:
d_spacing	2theta	intensity
2.423	37.10	100
2.376	37.86	47
1.381	67.88	34
1.408	66.38	18
1.680	54.62	17
1.212	79.03	11

***

Record 12
Theoretical X-ray powder pattern of Ho2IrO6 for Cu Kα (λ = 1.5418 Å), from the PBE geometry in Alexandria.
Kinematic intensities with the Lorentz-polarization factor, no thermal factor.

Structure:
a b c (Å): 5.3941 5.7509 8.9612
angles (deg): 90.00 119.95 90.00
Atoms (fractional coordinates):
Ho 0.1931 0.0873 0.2355
Ho 0.1931 0.4127 0.7355
Ho 0.8068 0.5873 0.2645
Ho 0.8068 0.9127 0.7645
Ir 0.5000 0.0000 0.0000
Ir 0.5000 0.5000 0.5000
O 0.1516 0.1738 0.9474
O 0.1516 0.3262 0.4474
O 0.2558 0.7260 0.9049
O 0.2558 0.7740 0.4049
O 0.4390 0.0793 0.7741
O 0.4390 0.4207 0.2741
O 0.5610 0.5793 0.7259
O 0.5610 0.9207 0.2259
O 0.7442 0.2260 0.5951
O 0.7442 0.2740 0.0951
O 0.8484 0.6738 0.5526
O 0.8484 0.8262 0.0526

Largest 6 diffraction maxima, in order of falling intensity, 15° ≤ 2θ ≤ 90°:
d_spacing	2theta	intensity
2.885	30.99	100
4.621	19.21	96
2.647	33.87	88
4.185	21.23	46
2.391	37.62	46
2.678	33.46	39

***

Record 13
Theoretical X-ray powder pattern of Ho4Ir6O19 for Cu Kα (λ = 1.5418 Å), from the PBE geometry in Alexandria.
Kinematic intensities with the Lorentz-polarization factor, no thermal factor.

Structure:
a b c (Å): 7.7884 7.7884 7.7884
angles (deg): 109.47 109.47 109.47
Atoms (fractional coordinates):
Ho 0.0000 0.0000 0.2901
Ho 0.0000 0.2901 0.0000
Ho 0.2901 0.0000 0.0000
Ho 0.7099 0.7099 0.7099
Ir 0.1561 0.5000 0.6561
Ir 0.3439 0.8439 0.5000
Ir 0.5000 0.3439 0.8439
Ir 0.5000 0.6561 0.1561
Ir 0.6561 0.1561 0.5000
Ir 0.8439 0.5000 0.3439
O 0.0000 0.0000 0.0000
O 0.0000 0.3260 0.3260
O 0.0000 0.6740 0.6740
O 0.0416 0.7358 0.3441
O 0.2642 0.3058 0.6082
O 0.3025 0.6942 0.9584
O 0.3058 0.6082 0.2642
O 0.3260 0.0000 0.3260
O 0.3260 0.3260 0.0000
O 0.3441 0.0416 0.7358
O 0.3918 0.6975 0.6559
O 0.6082 0.2642 0.3058
O 0.6559 0.3918 0.6975
O 0.6740 0.0000 0.6740
O 0.6740 0.6740 0.0000
O 0.6942 0.9584 0.3025
O 0.6975 0.6559 0.3918
O 0.7358 0.3441 0.0416
O 0.9584 0.3025 0.6942

Largest 6 diffraction maxima, in order of falling intensity, 15° ≤ 2θ ≤ 90°:
d_spacing	2theta	intensity
2.844	31.46	100
2.404	37.42	61
1.764	51.84	55
3.671	24.24	41
1.499	61.91	27
4.497	19.74	23